Structure and theoretical powder XRD pattern of BaCaFe2Co2O7 (the PBE+U geometry in Alexandria; a wavelength of 1.5418 Å).
Kinematic intensities with the Lorentz-polarization factor, no thermal factor.

Cell and atoms:
abc: 11.209 6.437 10.459
angles: 90.00 90.29 90.00
Space group Cm (No. 8)
Unique sites:
Ba: 0.000 0.000 0.000 (multiplicity 2)
Ba: 0.137 0.500 0.561 (multiplicity 2)
Ca: 0.136 0.500 0.158 (multiplicity 2)
Ca: 0.484 0.500 0.658 (multiplicity 2)
Fe: 0.307 0.000 0.086 (multiplicity 2)
Fe: 0.311 0.000 0.601 (multiplicity 2)
Fe: 0.388 0.254 0.348 (multiplicity 4)
Co: 0.132 0.000 0.345 (multiplicity 2)
Co: 0.234 0.262 0.848 (multiplicity 4)
Co: 0.490 0.000 0.844 (multiplicity 2)
O: 0.041 0.238 0.282 (multiplicity 4)
O: 0.073 0.261 0.776 (multiplicity 4)
O: 0.157 0.000 0.529 (multiplicity 2)
O: 0.218 0.232 0.034 (multiplicity 4)
O: 0.297 0.500 0.314 (multiplicity 2)
O: 0.308 0.000 0.281 (multiplicity 2)
O: 0.313 0.000 0.784 (multiplicity 2)
O: 0.323 0.500 0.794 (multiplicity 2)
O: 0.398 0.231 0.530 (multiplicity 4)
O: 0.466 0.000 0.030 (multiplicity 2)

Main lines, by intensity (10° ≤ 2θ ≤ 90°):
| index | two_theta | I_rel |
| --- | --- | --- |
| 2 2 1 | 33.2 | 100 |
| 3 1 2 | 32.7 | 95 |
| 4 0 -1 | 33.1 | 60 |
| 1 1 -3 | 30.2 | 51 |
| 2 0 3 | 30.3 | 43 |
| 3 1 -2 | 32.5 | 36 |
| 6 2 0 | 57.0 | 36 |
| 0 0 4 | 34.3 | 32 |
| 3 1 0 | 27.6 | 30 |
| 2 2 5 | 54.9 | 29 |
| 1 3 -3 | 50.6 | 25 |
| 1 1 -1 | 18.0 | 25 |